# 1
# Tl2Re
Calculated powder diffractogram, λ = 1.5418 Å (Cu Kα). Input: DFT lattice parameters and positions (GGA-PBE).
Lines closer than 0.1° are merged.

a = 12.162 Å, b = 3.253 Å, c = 8.176 Å
α = 90.00°, β = 106.39°, γ = 90.00°
Atoms (fractional coordinates):
Tl: 0.000 0.000 0.000
Tl: 0.003 0.000 0.504
Tl: 0.205 0.500 0.817
Tl: 0.297 0.000 0.193
Tl: 0.500 0.500 0.000
Tl: 0.503 0.500 0.504
Tl: 0.705 0.000 0.817
Tl: 0.797 0.500 0.193
Re: 0.190 0.500 0.429
Re: 0.319 0.000 0.589
Re: 0.690 0.000 0.429
Re: 0.819 0.500 0.589

Principal peaks in the range 15° ≤ 2θ ≤ 90°, low angle first:
| Position (°2θ) | Rel. int. |
| --- | --- |
| 30.85 | 53 |
| 32.68 | 42 |
| 33.37 | 25 |
| 35.28 | 88 |
| 36.00 | 100 |
| 46.56 | 22 |



# 2
# Sc4In5Ga2
Calculated powder diffractogram, λ = 1.5418 Å (Cu Kα). Input: DFT lattice parameters and positions (GGA-PBE).
Lines closer than 0.1° are merged.

a = 7.663 Å, b = 3.288 Å, c = 9.545 Å
α = 90.00°, β = 95.20°, γ = 90.00°
Atoms (fractional coordinates):
Sc: 0.183 0.000 0.366
Sc: 0.245 0.000 0.935
Sc: 0.755 0.000 0.065
Sc: 0.817 0.000 0.634
In: 0.167 0.500 0.650
In: 0.453 0.500 0.180
In: 0.500 0.500 0.500
In: 0.547 0.500 0.820
In: 0.833 0.500 0.350
Ga: 0.072 0.500 0.129
Ga: 0.928 0.500 0.871

Principal peaks in the range 15° ≤ 2θ ≤ 90°, low angle first:
| Position (°2θ) | Rel. int. |
| --- | --- |
| 27.12 | 85 |
| 34.62 | 57 |
| 35.76 | 100 |
| 36.06 | 50 |
| 37.87 | 48 |
| 38.56 | 65 |



# 3
# Ac2Si2Pt
Calculated powder diffractogram, λ = 1.5418 Å (Cu Kα). Input: DFT lattice parameters and positions (GGA-PBE).
Lines closer than 0.1° are merged.

a = 4.416 Å, b = 4.272 Å, c = 13.335 Å
α = 90.00°, β = 90.00°, γ = 90.00°
Atoms (fractional coordinates):
Ac: 0.000 0.000 0.000
Ac: 0.000 0.000 0.249
Ac: 0.000 0.500 0.500
Ac: 0.000 0.500 0.749
Si: 0.500 0.000 0.626
Si: 0.500 0.000 0.821
Si: 0.500 0.500 0.126
Si: 0.500 0.500 0.321
Pt: 0.500 0.000 0.425
Pt: 0.500 0.500 0.925

Principal peaks in the range 15° ≤ 2θ ≤ 90°, low angle first:
| Position (°2θ) | Rel. int. |
| --- | --- |
| 21.85 | 38 |
| 29.86 | 100 |
| 33.68 | 58 |
| 35.53 | 73 |
| 39.85 | 39 |
| 55.14 | 32 |



# 4
# Cr2MoRh8
Calculated powder diffractogram, λ = 1.5418 Å (Cu Kα). Input: DFT lattice parameters and positions (GGA-PBE).
Lines closer than 0.1° are merged.

a = 7.147 Å, b = 7.147 Å, c = 7.147 Å
α = 147.47°, β = 126.18°, γ = 64.32°
Atoms (fractional coordinates):
Cr: 0.201 0.201 0.000
Cr: 0.799 0.799 0.000
Mo: 0.500 0.500 0.000
Rh: 0.057 0.347 0.710
Rh: 0.203 0.000 0.203
Rh: 0.344 0.844 0.500
Rh: 0.363 0.653 0.710
Rh: 0.637 0.347 0.290
Rh: 0.656 0.156 0.500
Rh: 0.797 0.000 0.797
Rh: 0.943 0.653 0.290

Principal peaks in the range 15° ≤ 2θ ≤ 90°, low angle first:
| Position (°2θ) | Rel. int. |
| --- | --- |
| 39.86 | 25 |
| 42.34 | 100 |
| 42.58 | 15 |
| 44.94 | 20 |
| 45.31 | 26 |
| 85.06 | 15 |



# 5
# CeDy2Tl2
Calculated powder diffractogram, λ = 1.5418 Å (Cu Kα). Input: DFT lattice parameters and positions (GGA-PBE).
Lines closer than 0.1° are merged.

a = 6.799 Å, b = 6.799 Å, c = 9.159 Å
α = 102.98°, β = 102.98°, γ = 45.79°
Atoms (fractional coordinates):
Ce: 0.247 0.753 0.750
Ce: 0.753 0.247 0.250
Dy: 0.060 0.569 0.354
Dy: 0.431 0.940 0.146
Dy: 0.569 0.060 0.854
Dy: 0.940 0.431 0.646
Tl: 0.137 0.628 0.044
Tl: 0.372 0.863 0.456
Tl: 0.628 0.137 0.544
Tl: 0.863 0.372 0.956

Principal peaks in the range 15° ≤ 2θ ≤ 90°, low angle first:
| Position (°2θ) | Rel. int. |
| --- | --- |
| 31.37 | 100 |
| 33.90 | 90 |
| 46.85 | 33 |
| 54.17 | 16 |
| 59.07 | 33 |
| 60.65 | 17 |



# 6
# SrNiSb2
Calculated powder diffractogram, λ = 1.5418 Å (Cu Kα). Input: DFT lattice parameters and positions (GGA-PBE).
Lines closer than 0.1° are merged.

a = 4.174 Å, b = 6.429 Å, c = 8.068 Å
α = 90.00°, β = 90.00°, γ = 90.00°
Atoms (fractional coordinates):
Sr: 0.000 0.000 0.000
Sr: 0.500 0.500 0.500
Ni: 0.000 0.000 0.500
Ni: 0.500 0.500 0.000
Sb: 0.000 0.500 0.182
Sb: 0.000 0.500 0.818
Sb: 0.500 0.000 0.318
Sb: 0.500 0.000 0.682

Principal peaks in the range 15° ≤ 2θ ≤ 90°, low angle first:
| Position (°2θ) | Rel. int. |
| --- | --- |
| 27.75 | 68 |
| 33.90 | 100 |
| 36.21 | 28 |
| 43.35 | 20 |
| 52.29 | 33 |
| 53.14 | 27 |